Starting from a DFT-relaxed cell (GGA-PBE, the Materials Project), the powder X-ray diffraction pattern of Li2Ta4O11 was computed for copper Kα.
No peak broadening, texture or thermal motion is included.

Main lines, by intensity (10° ≤ 2θ ≤ 80°):
h k l, 2θ/deg, Rel. int.
1 1 3, 29.4, 100
1 1 6, 32.0, 68
0 0 6, 14.4, 68
0 1 2, 17.0, 56
0 0 12, 29.0, 44
1 1 9, 36.0, 36

Crystal structure
```
data_Li2Ta4O11
_chemical_formula_sum 'Li12 Ta24 O66'
_symmetry_space_group_name_H-M 'R -3 c'
_symmetry_Int_Tables_number 167
_symmetry_space_group_name_Hall '-R 3 2"c'
_cell_length_a 6.2706
_cell_length_b 6.2706
_cell_length_c 36.9925
_cell_angle_alpha 90.00
_cell_angle_beta 90.00
_cell_angle_gamma 120.00
loop_
_atom_site_label
_atom_site_fract_x
_atom_site_fract_y
_atom_site_fract_z
Li1 0.0000 0.0000 0.1489
Ta1 0.0000 0.0000 0.0000
Ta2 0.0000 0.3580 0.2500
O1 0.0000 0.0000 0.0939
O2 0.0000 0.2477 0.7500
O3 0.0474 0.2823 0.5306
```

Starting from a DFT-relaxed cell (GGA-PBE, the Materials Project), the powder X-ray diffraction pattern of Li3TaO4 was computed for copper Kα.
No peak broadening, texture or thermal motion is included.

Main lines, by intensity (10° ≤ 2θ ≤ 80°):
h k l, 2θ/deg, Rel. int.
1 1 -2, 23.3, 100
2 2 -1, 42.1, 43
1 0 0, 15.0, 43
0 1 1, 16.2, 42
0 1 2, 20.3, 39
1 0 2, 22.9, 33

Crystal structure
```
data_Li3TaO4
_chemical_formula_sum 'Li18 Ta6 O24'
_symmetry_space_group_name_H-M 'P 1 2/c 1'
_symmetry_Int_Tables_number 13
_cell_length_a 6.0802
_cell_length_b 6.0577
_cell_length_c 12.9562
_cell_angle_alpha 90.00
_cell_angle_beta 103.44
_cell_angle_gamma 90.00
loop_
_symmetry_equiv_pos_as_xyz
'x,y,z'
'-x,-y,-z'
'-x,y,-z+1/2'
'x,-y,z+1/2'
loop_
_atom_site_label
_atom_site_fract_x
_atom_site_fract_y
_atom_site_fract_z
Li1 0.0000 0.1115 0.2500
Li2 0.0000 0.3358 0.7500
Li3 0.1286 0.1241 0.5830
Li4 0.1727 0.3778 0.0908
Li5 0.3256 0.1251 0.9236
Li6 0.5000 0.3776 0.7500
Ta1 0.3021 0.3773 0.4165
Ta2 0.5000 0.0929 0.2500
O1 0.0936 0.3869 0.9118
O2 0.0980 0.1401 0.4209
O3 0.2606 0.1116 0.7451
O4 0.2718 0.3626 0.2591
O5 0.4290 0.3871 0.5739
O6 0.4348 0.1424 0.0926
```

Starting from a DFT-relaxed cell (GGA-PBE, the Materials Project), the powder X-ray diffraction pattern of LiTaO3 was computed for copper Kα.
No peak broadening, texture or thermal motion is included.

Main lines, by intensity (10° ≤ 2θ ≤ 80°):
h k l, 2θ/deg, Rel. int.
0 1 2, 23.5, 100
1 0 4, 32.5, 41
1 1 0, 34.4, 30
1 1 6, 52.8, 26
1 2 2, 55.5, 18
0 2 4, 48.1, 18

Crystal structure
```
data_LiTaO3
_chemical_formula_sum 'Li6 Ta6 O18'
_symmetry_space_group_name_H-M 'R 3 c'
_symmetry_Int_Tables_number 161
_symmetry_space_group_name_Hall 'R 3 -2"c'
_cell_length_a 5.2083
_cell_length_b 5.2083
_cell_length_c 13.9366
_cell_angle_alpha 90.00
_cell_angle_beta 90.00
_cell_angle_gamma 120.00
loop_
_atom_site_label
_atom_site_fract_x
_atom_site_fract_y
_atom_site_fract_z
Li1 0.0000 0.0000 0.0000
Ta1 0.0000 0.0000 0.2828
O1 0.0095 0.3844 0.0468
```

Starting from a DFT-relaxed cell (GGA-PBE, the Materials Project), the powder X-ray diffraction pattern of LiTa2O6 was computed for copper Kα.
No peak broadening, texture or thermal motion is included.

Main lines, by intensity (10° ≤ 2θ ≤ 80°):
h k l, 2θ/deg, Rel. int.
0 1 2, 23.2, 100
1 0 4, 32.2, 35
1 1 0, 33.9, 28
1 1 6, 52.2, 24
3 -2 2, 54.6, 18
0 2 4, 47.4, 18

Crystal structure
```
data_LiTa2O6
_chemical_formula_sum 'Li3 Ta6 O18'
_symmetry_space_group_name_H-M 'R 3'
_symmetry_Int_Tables_number 146
_symmetry_space_group_name_Hall 'R 3'
_cell_length_a 5.2930
_cell_length_b 5.2930
_cell_length_c 14.0121
_cell_angle_alpha 90.00
_cell_angle_beta 90.00
_cell_angle_gamma 120.00
loop_
_atom_site_label
_atom_site_fract_x
_atom_site_fract_y
_atom_site_fract_z
Li1 0.0000 0.0000 0.0000
Ta1 0.0000 0.0000 0.2231
Ta2 0.0000 0.0000 0.7135
O1 0.0486 0.3340 0.2977
O2 0.1033 0.7632 0.7954
```

Starting from a DFT-relaxed cell (GGA-PBE, the Materials Project), the powder X-ray diffraction pattern of LiTaO3 was computed for copper Kα.
No peak broadening, texture or thermal motion is included.

Main lines, by intensity (10° ≤ 2θ ≤ 80°):
h k l, 2θ/deg, Rel. int.
1 1 0, 23.1, 100
1 1 1, 32.5, 64
0 0 1, 22.6, 56
2 0 0, 32.9, 38
3 1 1, 58.5, 31
2 0 1, 40.3, 26

Crystal structure
```
data_LiTaO3
_chemical_formula_sum 'Li2 Ta2 O6'
_symmetry_space_group_name_H-M 'P 4/m b m'
_symmetry_Int_Tables_number 127
_symmetry_space_group_name_Hall '-P 4 2ab'
_cell_length_a 5.4445
_cell_length_b 5.4445
_cell_length_c 3.9426
_cell_angle_alpha 90.00
_cell_angle_beta 90.00
_cell_angle_gamma 90.00
loop_
_atom_site_label
_atom_site_fract_x
_atom_site_fract_y
_atom_site_fract_z
Li1 0.0000 0.5000 0.0000
Ta1 0.0000 0.0000 0.5000
O1 0.0000 0.0000 0.0000
O2 0.1839 0.3161 0.5000
```

Starting from a DFT-relaxed cell (GGA-PBE, the Materials Project), the powder X-ray diffraction pattern of LiTa6O15 was computed for copper Kα.
No peak broadening, texture or thermal motion is included.

Main lines, by intensity (10° ≤ 2θ ≤ 80°):
h k l, 2θ/deg, Rel. int.
1 0 0, 22.9, 100
0 2 3, 25.1, 59
1 2 3, 34.3, 37
0 1 5, 28.0, 35
1 1 5, 36.5, 27
0 1 4, 23.1, 25

Crystal structure
```
data_LiTa6O15
_chemical_formula_sum 'Li2 Ta12 O30'
_symmetry_space_group_name_H-M 'P m c 21'
_symmetry_Int_Tables_number 26
_cell_length_a 3.8853
_cell_length_b 9.0623
_cell_length_c 17.0338
_cell_angle_alpha 90.00
_cell_angle_beta 90.00
_cell_angle_gamma 90.00
loop_
_symmetry_equiv_pos_as_xyz
'x,y,z'
'-x,-y,z+1/2'
'-x,y,z'
'x,-y,z+1/2'
loop_
_atom_site_label
_atom_site_fract_x
_atom_site_fract_y
_atom_site_fract_z
Li1 0.0000 0.0471 0.0000
Ta1 0.5000 0.0527 0.8622
Ta2 0.5000 0.1792 0.1735
Ta3 0.5000 0.1979 0.5569
Ta4 0.5000 0.3114 0.3689
Ta5 0.5000 0.3886 0.9869
Ta6 0.5000 0.4051 0.7501
O1 0.0000 0.0508 0.8752
O2 0.0000 0.1704 0.5552
O3 0.0000 0.1736 0.1810
O4 0.0000 0.3116 0.3652
O5 0.0000 0.4025 0.9835
O6 0.5000 0.0037 0.1076
O7 0.5000 0.1243 0.2927
O8 0.5000 0.1244 0.4431
O9 0.5000 0.1827 0.9552
O10 0.5000 0.2018 0.7832
O11 0.5000 0.3296 0.0949
O12 0.5000 0.3413 0.6435
O13 0.5000 0.3808 0.4861
O14 0.5000 0.3828 0.2472
O15 0.5000 0.4556 0.8647
```